Simulated XRD peak list
Compound: Li2SnPb2
Radiation: Cu Kα (λ = 1.5418 Å)
Structure: a crystal structure in Alexandria, relaxed with GGA-PBE
Peak positions follow from Bragg's law for the DFT cell and can differ from measured ones.

Crystal structure
```
data_Li2SnPb2
_chemical_formula_sum 'Li4 Sn2 Pb4'
_cell_length_a 8.5027
_cell_length_b 8.5027
_cell_length_c 3.3872
_cell_angle_alpha 90.00
_cell_angle_beta 90.00
_cell_angle_gamma 90.00
_space_group_name_H-M_alt 'P 4/m b m'
_space_group_IT_number 127
_space_group_name_Hall '-P 4 2ab'
loop_
_atom_site_label
_atom_site_fract_x
_atom_site_fract_y
_atom_site_fract_z
Li1 0.1683 0.3317 0.0000
Sn1 0.0000 0.0000 0.5000
Pb1 0.1323 0.6323 0.5000
```

Largest 6 diffraction maxima, in order of rising 2θ, 2θ from 10° to 90°:
23.39°, I = 100
26.31°, I = 60
33.32°, I = 58
35.49°, I = 79
42.95°, I = 56
65.14°, I = 36